The following is a theoretical XRD peak list of Li2Ca2Hg. It was derived from DFT lattice parameters and positions (GGA-PBE), using Cu Kα X-rays.

Most intense lines, 10 to 80 degrees two-theta, in order of falling intensity:
- 2θ 17.66, I = 100
- 2θ 24.26, I = 91
- 2θ 30.33, I = 81
- 2θ 29.98, I = 68
- 2θ 20.62, I = 59
- 2θ 37.59, I = 52

Atomic structure:
abc: 6.215 6.215 11.425
angles: 116.40 116.40 45.31
Fractional positions:
Li: 0.016 0.016 0.387
Li: 0.154 0.154 0.044
Li: 0.846 0.846 0.956
Li: 0.984 0.984 0.613
Ca: 0.301 0.301 0.380
Ca: 0.492 0.492 0.170
Ca: 0.508 0.508 0.830
Ca: 0.699 0.699 0.620
Hg: 0.226 0.226 0.838
Hg: 0.774 0.774 0.162